# 1
Ba4PrYCu8O16: calculated PXRD pattern (Cu Kα), based on a GGA-PBE-relaxed structure.
Lines closer than 0.1° are merged.

Cell and atoms:
Unit cell a=7.834 b=3.907 c=13.991 alpha=90.00 beta=98.01 gamma=90.00
Positions (direct):
Ba 0.068 0.000 0.271
Ba 0.432 0.000 0.727
Ba 0.568 0.000 0.273
Ba 0.932 0.000 0.729
Pr 0.500 0.000 0.000
Y 0.000 0.000 0.000
Cu 0.144 0.500 0.575
Cu 0.216 0.500 0.875
Cu 0.279 0.500 0.125
Cu 0.356 0.500 0.425
Cu 0.644 0.500 0.575
Cu 0.721 0.500 0.875
Cu 0.784 0.500 0.125
Cu 0.856 0.500 0.425
O 0.026 0.500 0.105
O 0.110 0.500 0.439
O 0.177 0.500 0.709
O 0.214 0.000 0.893
O 0.268 0.000 0.107
O 0.323 0.500 0.291
O 0.390 0.500 0.561
O 0.472 0.500 0.887
O 0.528 0.500 0.113
O 0.610 0.500 0.439
O 0.677 0.500 0.709
O 0.732 0.000 0.893
O 0.786 0.000 0.107
O 0.823 0.500 0.291
O 0.890 0.500 0.561
O 0.974 0.500 0.895

Peak list (8 most intense, 5° ≤ 2θ ≤ 70°, in order of rising 2θ)
2θ = 30.0°, I = 42; 2θ = 32.1°, I = 100; 2θ = 32.5°, I = 97; 2θ = 34.6°, I = 65; 2θ = 46.4°, I = 33; 2θ = 46.5°, I = 33; 2θ = 57.6°, I = 38; 2θ = 60.2°, I = 30


# 2
Ba6Pr2YCu12O24: calculated PXRD pattern (Cu Kα), based on a GGA-PBE-relaxed structure.
Lines closer than 0.1° are merged.

Cell and atoms:
Unit cell a=41.550 b=41.550 c=3.938 alpha=90.00 beta=90.00 gamma=174.60
Positions (direct):
Ba 0.045 0.955 0.000
Ba 0.288 0.712 0.000
Ba 0.379 0.621 0.000
Ba 0.621 0.379 0.000
Ba 0.712 0.288 0.000
Ba 0.955 0.045 0.000
Pr 0.333 0.667 0.000
Pr 0.667 0.333 0.000
Y 0.000 0.000 0.000
Cu 0.096 0.904 0.500
Cu 0.145 0.855 0.500
Cu 0.188 0.812 0.500
Cu 0.238 0.762 0.500
Cu 0.429 0.571 0.500
Cu 0.479 0.521 0.500
Cu 0.521 0.479 0.500
Cu 0.571 0.429 0.500
Cu 0.762 0.238 0.500
Cu 0.812 0.188 0.500
Cu 0.855 0.145 0.500
Cu 0.904 0.096 0.500
O 0.017 0.983 0.500
O 0.073 0.927 0.500
O 0.118 0.882 0.500
O 0.148 0.852 0.000
O 0.185 0.815 0.000
O 0.215 0.785 0.500
O 0.260 0.740 0.500
O 0.315 0.685 0.500
O 0.352 0.648 0.500
O 0.406 0.594 0.500
O 0.452 0.548 0.500
O 0.483 0.517 0.000
O 0.517 0.483 0.000
O 0.548 0.452 0.500
O 0.594 0.406 0.500
O 0.648 0.352 0.500
O 0.685 0.315 0.500
O 0.740 0.260 0.500
O 0.785 0.215 0.500
O 0.815 0.185 0.000
O 0.852 0.148 0.000
O 0.882 0.118 0.500
O 0.927 0.073 0.500
O 0.983 0.017 0.500

Peak list (8 most intense, 5° ≤ 2θ ≤ 70°, in order of rising 2θ)
2θ = 6.4°, I = 32; 2θ = 29.8°, I = 44; 2θ = 32.2°, I = 100; 2θ = 32.4°, I = 99; 2θ = 34.5°, I = 64; 2θ = 46.1°, I = 33; 2θ = 46.4°, I = 33; 2θ = 57.3°, I = 38


# 3
BaSr2Y2Cu2PtO10: calculated PXRD pattern (Cu Kα), based on a GGA-PBE-relaxed structure.
Lines closer than 0.1° are merged.

Cell and atoms:
Unit cell a=6.840 b=6.840 c=7.463 alpha=104.02 beta=104.02 gamma=49.59
Positions (direct):
Ba 0.000 0.000 0.000
Sr 0.150 0.150 0.528
Sr 0.299 0.299 0.052
Y 0.460 0.460 0.654
Y 0.837 0.837 0.401
Cu 0.562 0.562 0.330
Cu 0.736 0.736 0.725
Pt 0.648 0.648 0.028
O 0.062 0.588 0.646
O 0.237 0.710 0.408
O 0.401 0.863 0.811
O 0.440 0.900 0.246
O 0.477 0.477 0.980
O 0.588 0.062 0.646
O 0.710 0.237 0.408
O 0.816 0.816 0.075
O 0.863 0.401 0.811
O 0.900 0.440 0.246

Peak list (8 most intense, 5° ≤ 2θ ≤ 70°, in order of rising 2θ)
2θ = 17.1°, I = 30; 2θ = 24.8°, I = 20; 2θ = 27.3°, I = 39; 2θ = 31.2°, I = 49; 2θ = 32.4°, I = 100; 2θ = 32.7°, I = 28; 2θ = 40.2°, I = 19; 2θ = 56.3°, I = 20


# 4
Ba3CuRu2O9: calculated PXRD pattern (Cu Kα), based on a GGA-PBE-relaxed structure.
Lines closer than 0.1° are merged.

Cell and atoms:
Unit cell a=5.922 b=5.922 c=14.402 alpha=90.00 beta=90.00 gamma=121.77
Positions (direct):
Ba 0.017 0.983 0.750
Ba 0.322 0.678 0.095
Ba 0.322 0.678 0.405
Ba 0.678 0.322 0.595
Ba 0.678 0.322 0.905
Ba 0.983 0.017 0.250
Cu 0.000 0.000 0.000
Cu 0.000 0.000 0.500
Ru 0.352 0.648 0.652
Ru 0.352 0.648 0.848
Ru 0.648 0.352 0.152
Ru 0.648 0.352 0.348
O 0.051 0.498 0.750
O 0.180 0.312 0.589
O 0.180 0.312 0.911
O 0.197 0.803 0.581
O 0.197 0.803 0.919
O 0.312 0.180 0.089
O 0.312 0.180 0.411
O 0.498 0.051 0.250
O 0.498 0.502 0.250
O 0.502 0.498 0.750
O 0.502 0.949 0.750
O 0.688 0.820 0.589
O 0.688 0.820 0.911
O 0.803 0.197 0.081
O 0.803 0.197 0.419
O 0.820 0.688 0.089
O 0.820 0.688 0.411
O 0.949 0.502 0.250

Peak list (8 most intense, 5° ≤ 2θ ≤ 70°, in order of rising 2θ)
2θ = 25.6°, I = 19; 2θ = 30.2°, I = 100; 2θ = 30.5°, I = 52; 2θ = 31.0°, I = 38; 2θ = 39.6°, I = 15; 2θ = 43.1°, I = 13; 2θ = 43.9°, I = 29; 2θ = 54.7°, I = 14


- Number 4 is which compound?
  Ba3CuRu2O9